Diffraction record for Dy2Ti2O7. The X-ray powder pattern is calculated, not measured: it uses a crystal structure in the Materials Project, relaxed with GGA-PBE and CuKα.

Principal peaks in the range 2θ from 15° to 90°, by intensity:
(2 2 2), d 2.936, 2θ 30.45, rel. 100; (4 4 0), d 1.798, 2θ 50.78, rel. 48; (6 2 2), d 1.533, 2θ 60.37, rel. 41; (1 1 1), d 5.872, 2θ 15.09, rel. 31; (4 0 0), d 2.543, 2θ 35.30, rel. 29; (3 3 1), d 2.333, 2θ 38.59, rel. 21; (3 1 1), d 3.066, 2θ 29.12, rel. 17; (6 6 2), d 1.167, 2θ 82.73, rel. 17

Structural model:
abc: 10.170 10.170 10.170
angles: 90.00 90.00 90.00
Space group Fd-3m (No. 227, origin choice 2)
Symmetry-distinct sites (fractional):
Dy 0.000 0.000 0.000
Ti 0.000 0.000 0.500
O 0.080 0.375 0.875
O 0.125 0.125 0.125


Diffraction record for EuIn4Cu. The X-ray powder pattern is calculated, not measured: it uses a crystal structure in the Materials Project, relaxed with GGA-PBE and CuKα.

Principal peaks in the range 2θ from 15° to 90°, by intensity:
(1 1 2), d 2.848, 2θ 31.41, rel. 100; (1 5 0), d 2.736, 2θ 32.73, rel. 60; (1 5 1), d 2.569, 2θ 34.93, rel. 43; (2 0 0), d 2.299, 2θ 39.18, rel. 38; (0 6 2), d 2.254, 2θ 40.00, rel. 29; (0 6 1), d 2.650, 2θ 33.83, rel. 20; (2 6 2), d 1.610, 2θ 57.24, rel. 19; (0 4 2), d 2.797, 2θ 32.00, rel. 14

Structural model:
abc: 4.599 17.019 7.425
angles: 90.00 90.00 90.00
Space group Cmcm (No. 63)
Symmetry-distinct sites (fractional):
Eu 0.000 0.121 0.250
In 0.000 0.073 0.750
In 0.000 0.315 0.050
In 0.000 0.500 0.000
Cu 0.000 0.230 0.750